MgFe12O12F12: calculated X-ray powder pattern (Cu Ka), based on a structure optimized by DFT (GGA+U).
Peak positions follow from Bragg's law for the DFT cell and can differ from measured ones.

Largest 10 diffraction maxima, in order of rising 2θ, 2θ from 15° to 90°:
| index | 2θ/deg | I/Imax |
| --- | --- | --- |
| 0 2 3 | 25.50 | 987 |
| 0 2 -3 | 26.40 | 1000 |
| 1 0 3 | 33.74 | 325 |
| 1 2 0 | 34.17 | 287 |
| 1 -2 0 | 34.38 | 319 |
| 1 0 -3 | 34.73 | 353 |
| 0 4 -3 | 42.19 | 203 |
| -1 2 6 | 51.56 | 164 |
| 1 2 -6 | 52.41 | 259 |
| 2 0 0 | 59.47 | 203 |

Structural model:
a b c (Å): 3.1100 9.6984 14.6107
angles (deg): 88.03 88.21 89.59
Sites, in units of the cell vectors:
Mg 0.0000 0.0000 0.0000
Fe 0.0564 0.4396 0.8158
Fe 0.0651 0.9246 0.8023
Fe 0.1095 0.9477 0.4910
Fe 0.1136 0.4515 0.4994
Fe 0.1211 0.4649 0.1739
Fe 0.2184 0.9793 0.2051
Fe 0.5317 0.3360 0.9852
Fe 0.5581 0.6962 0.9680
Fe 0.5879 0.1960 0.6801
Fe 0.5912 0.7215 0.6491
Fe 0.6223 0.7353 0.3336
Fe 0.6454 0.2279 0.3186
O 0.0393 0.2945 0.9184
O 0.0602 0.8067 0.9252
O 0.0834 0.0963 0.7289
O 0.0983 0.8028 0.5898
O 0.1281 0.7992 0.2668
O 0.1461 0.3352 0.2745
O 0.5498 0.5266 0.9007
O 0.5682 0.3599 0.7539
O 0.5747 0.8353 0.7558
O 0.6185 0.8736 0.4287
O 0.6280 0.4033 0.1031
O 0.7103 0.0920 0.2305
F 0.0775 0.6049 0.7200
F 0.0825 0.6308 0.0589
F 0.0971 0.2873 0.6000
F 0.1193 0.6159 0.3991
F 0.1374 0.1247 0.3993
F 0.4475 0.1370 0.0398
F 0.5202 0.8897 0.0704
F 0.5914 0.0215 0.8904
F 0.6050 0.0549 0.5594
F 0.6068 0.5522 0.5670
F 0.6208 0.3534 0.4350
F 0.6237 0.5735 0.2336